Fe4TeSe3: calculated powder diffraction line list (CuKα), based on the GGA-PBE geometry in the Materials Project.
Kinematic intensities with the Lorentz-polarization factor, no thermal factor.

Principal peaks in the range 2θ = 10–90°, sorted by position:
| d [Å] | 2θ/deg | I_rel | (hkl) |
| --- | --- | --- | --- |
| 6.272 | 14.1 | 77 | 0 0 2 |
| 3.179 | 28.1 | 72 | 0 2 2 |
| 3.140 | 28.4 | 76 | 1 0 2 |
| 2.390 | 37.6 | 35 | 1 2 2 |
| 1.995 | 45.5 | 100 | 1 2 4 |
| 1.844 | 49.4 | 21 | 0 4 0 |
| 1.812 | 50.3 | 31 | 2 0 0 |
| 1.590 | 58.0 | 20 | 1 4 2 |
| 1.575 | 58.6 | 18 | 2 2 2 |
| 1.292 | 73.2 | 19 | 2 4 0 |

Structural model:
a = 3.6262 Å, b = 7.3744 Å, c = 12.5447 Å
α = 90.00°, β = 90.00°, γ = 90.00°
Space group Amm2 (No. 38)
Inequivalent atoms, fractional coordinates:
Fe: 0.0000 0.0000 0.0000
Fe: 0.0000 0.0000 0.4917
Fe: 0.5000 0.2430 0.9990
Te: 0.5000 0.0000 0.1453
Se: 0.0000 0.2505 0.3767
Se: 0.5000 0.0000 0.6137

---

Fe2TeSe: calculated powder diffraction line list (CuKα), based on the GGA-PBE geometry in the Materials Project.
Kinematic intensities with the Lorentz-polarization factor, no thermal factor.

Principal peaks in the range 2θ = 10–90°, sorted by position:
| d [Å] | 2θ/deg | I_rel | (hkl) |
| --- | --- | --- | --- |
| 5.938 | 14.9 | 42 | 0 0 1 |
| 3.174 | 28.1 | 100 | 1 0 1 |
| 2.424 | 37.1 | 20 | 1 1 1 |
| 1.979 | 45.8 | 65 | 1 1 2 |
| 1.878 | 48.5 | 27 | 2 0 0 |
| 1.751 | 52.2 | 17 | 1 0 3 |
| 1.616 | 57.0 | 27 | 2 1 1 |
| 1.281 | 74.0 | 12 | 2 1 3 |
| 1.164 | 82.9 | 13 | 2 0 4 |
| 1.103 | 88.7 | 20 | 3 1 2 |

Structural model:
a = 3.7554 Å, b = 3.7554 Å, c = 5.9377 Å
α = 90.00°, β = 90.00°, γ = 90.00°
Space group P4mm (No. 99)
Inequivalent atoms, fractional coordinates:
Fe: 0.0000 0.5000 0.0000
Te: 0.0000 0.0000 0.7262
Se: 0.5000 0.5000 0.2246

---

Fe3Te2Se: calculated powder diffraction line list (CuKα), based on the GGA-PBE geometry in the Materials Project.
Kinematic intensities with the Lorentz-polarization factor, no thermal factor.

Principal peaks in the range 2θ = 10–90°, sorted by position:
| d [Å] | 2θ/deg | I_rel | (hkl) |
| --- | --- | --- | --- |
| 6.281 | 14.1 | 19 | 0 0 3 |
| 3.136 | 28.5 | 100 | 1 0 3 |
| 2.370 | 38.0 | 33 | 1 1 3 |
| 2.094 | 43.2 | 9 | 0 0 9 |
| 1.984 | 45.7 | 56 | 1 1 6 |
| 1.811 | 50.4 | 37 | 2 0 0 |
| 1.567 | 58.9 | 26 | 2 1 3 |
| 1.369 | 68.5 | 9 | 2 0 9 |
| 1.280 | 74.1 | 16 | 2 2 0 |
| 1.127 | 86.3 | 11 | 1 1 15 |

Structural model:
a = 3.6190 Å, b = 3.6190 Å, c = 18.8442 Å
α = 90.00°, β = 90.00°, γ = 90.00°
Space group P4mm (No. 99)
Inequivalent atoms, fractional coordinates:
Fe: 0.0000 0.5000 0.0000
Fe: 0.0000 0.5000 0.3298
Fe: 0.0000 0.5000 0.6670
Te: 0.0000 0.0000 0.2325
Te: 0.0000 0.0000 0.5699
Te: 0.0000 0.0000 0.9026
Te: 0.5000 0.5000 0.4270
Se: 0.5000 0.5000 0.0842
Se: 0.5000 0.5000 0.7512